Entry 1:
For ZrPbO3, a DFT-relaxed cell (GGA-PBE, the Materials Project) gives the calculated PXRD pattern in this record (Cu Kα (λ = 1.5418 Å)).

Principal peaks in the range 2θ from 15° to 90°, low angle first:
| 2theta | I/Imax | (hkl) |
| --- | --- | --- |
| 21.1 | 243 | 0 2 0 |
| 29.5 | 491 | 1 0 -2 |
| 29.7 | 1000 | 1 2 0 |
| 29.8 | 423 | 1 0 2 |
| 30.0 | 946 | 0 2 2 |
| 42.1 | 208 | 2 0 0 |
| 42.9 | 498 | 0 4 0 |
| 53.1 | 298 | 1 4 2 |

Structure:
```
data_ZrPbO3
_space_group_name_H-M_alt 'P 1 m 1'
_space_group_IT_number 6
_space_group_name_Hall 'P -2y'
_cell_length_a 4.295
_cell_length_b 8.429
_cell_length_c 8.444
_cell_angle_alpha 90.00
_cell_angle_beta 90.53
_cell_angle_gamma 90.00
loop_
_atom_site_label
_atom_site_type_symbol
_atom_site_fract_x
_atom_site_fract_y
_atom_site_fract_z
Zr1 Zr 0.000 0.247 0.000
Zr2 Zr 0.019 0.253 0.498
Pb1 Pb 0.512 0.500 0.194
Pb2 Pb 0.575 0.500 0.721
Pb3 Pb 0.595 0.000 0.270
Pb4 Pb 0.601 0.000 0.738
O1 O 0.473 0.273 0.012
O2 O 0.487 0.250 0.509
O3 O 0.928 0.000 0.997
O4 O 0.940 0.247 0.754
O5 O 0.945 0.000 0.514
O6 O 0.954 0.230 0.255
O7 O 0.957 0.500 0.026
O8 O 0.974 0.500 0.524
```

Entry 2:
For ErBRh3, a DFT-relaxed cell (GGA-PBE, the Materials Project) gives the calculated PXRD pattern in this record (Cu Kα (λ = 1.5418 Å)).

Principal peaks in the range 2θ from 15° to 90°, low angle first:
| 2theta | I/Imax | (hkl) |
| --- | --- | --- |
| 21.2 | 31 | 1 0 0 |
| 30.1 | 53 | 1 1 0 |
| 37.1 | 1000 | 1 1 1 |
| 43.1 | 522 | 2 0 0 |
| 53.5 | 22 | 2 1 1 |
| 62.7 | 340 | 2 2 0 |
| 75.1 | 375 | 3 1 1 |
| 79.1 | 115 | 2 2 2 |

Structure:
```
data_ErBRh3
_space_group_name_H-M_alt 'P m -3 m'
_space_group_IT_number 221
_space_group_name_Hall '-P 4 2 3'
_cell_length_a 4.194
_cell_length_b 4.194
_cell_length_c 4.194
_cell_angle_alpha 90.00
_cell_angle_beta 90.00
_cell_angle_gamma 90.00
loop_
_atom_site_label
_atom_site_type_symbol
_atom_site_fract_x
_atom_site_fract_y
_atom_site_fract_z
Er1 Er 0.000 0.000 0.000
B1 B 0.500 0.500 0.500
Rh1 Rh 0.000 0.500 0.500
```

Entry 3:
For MgF2, a DFT-relaxed cell (GGA-PBE, the Materials Project) gives the calculated PXRD pattern in this record (Cu Kα (λ = 1.5418 Å)).

Principal peaks in the range 2θ from 15° to 90°, low angle first:
| 2theta | I/Imax | (hkl) |
| --- | --- | --- |
| 25.5 | 327 | 0 0 2 |
| 27.5 | 301 | 1 0 0 |
| 37.8 | 174 | 1 0 2 |
| 44.4 | 1000 | 1 1 1 |
| 50.7 | 235 | 0 1 3 |
| 52.3 | 195 | 0 0 4 |
| 56.7 | 200 | 2 0 0 |
| 58.7 | 436 | 1 1 3 |

Structure:
```
data_MgF2
_space_group_name_H-M_alt 'A m m 2'
_space_group_IT_number 38
_space_group_name_Hall 'A 2 -2'
_cell_length_a 3.245
_cell_length_b 2.831
_cell_length_c 6.991
_cell_angle_alpha 90.00
_cell_angle_beta 90.00
_cell_angle_gamma 90.00
loop_
_atom_site_label
_atom_site_type_symbol
_atom_site_fract_x
_atom_site_fract_y
_atom_site_fract_z
Mg1 Mg 0.000 0.000 0.000
F1 F 0.000 0.000 0.287
F2 F 0.500 0.000 0.549
```

Entry 4:
For Ca2Ni10H, a DFT-relaxed cell (GGA-PBE, the Materials Project) gives the calculated PXRD pattern in this record (Cu Kα (λ = 1.5418 Å)).

Principal peaks in the range 2θ from 15° to 90°, low angle first:
| 2theta | I/Imax | (hkl) |
| --- | --- | --- |
| 20.6 | 1000 | 1 1 0 |
| 41.9 | 589 | 2 2 0 |
| 42.9 | 994 | 0 2 2 |
| 43.1 | 988 | 3 1 -2 |
| 43.3 | 969 | 3 1 2 |
| 46.4 | 937 | 0 0 4 |
| 48.1 | 587 | 2 2 -2 |
| 48.3 | 896 | 4 0 -2 |

Structure:
```
data_Ca2Ni10H
_space_group_name_H-M_alt 'C 1 m 1'
_space_group_IT_number 8
_space_group_name_Hall 'C -2y'
_cell_length_a 8.562
_cell_length_b 4.998
_cell_length_c 7.833
_cell_angle_alpha 90.00
_cell_angle_beta 90.42
_cell_angle_gamma 90.00
loop_
_atom_site_label
_atom_site_type_symbol
_atom_site_fract_x
_atom_site_fract_y
_atom_site_fract_z
Ca1 Ca 0.000 0.000 0.000
Ca2 Ca 0.009 0.000 0.486
Ni1 Ni 0.006 0.500 0.237
Ni2 Ni 0.008 0.500 0.732
Ni3 Ni 0.167 0.500 0.987
Ni4 Ni 0.176 0.500 0.484
Ni5 Ni 0.255 0.250 0.236
Ni6 Ni 0.260 0.260 0.731
Ni7 Ni 0.342 0.000 0.483
Ni8 Ni 0.345 0.000 0.987
H1 H 0.209 0.000 0.839
```

> Number 2 is which compound?

ErBRh3

> What is the formula in the second record?

ErBRh3

> Which formula does entry 4 have?

Ca2Ni10H

What did the fourth record say?
For Ca2Ni10H, a DFT-relaxed cell (GGA-PBE, the Materials Project) gives the calculated PXRD pattern in this record (Cu Kα (λ = 1.5418 Å)).

Principal peaks in the range 2θ from 15° to 90°, low angle first:
| 2theta | I/Imax | (hkl) |
| --- | --- | --- |
| 20.6 | 1000 | 1 1 0 |
| 41.9 | 589 | 2 2 0 |
| 42.9 | 994 | 0 2 2 |
| 43.1 | 988 | 3 1 -2 |
| 43.3 | 969 | 3 1 2 |
| 46.4 | 937 | 0 0 4 |
| 48.1 | 587 | 2 2 -2 |
| 48.3 | 896 | 4 0 -2 |

Structure:
```
data_Ca2Ni10H
_space_group_name_H-M_alt 'C 1 m 1'
_space_group_IT_number 8
_space_group_name_Hall 'C -2y'
_cell_length_a 8.562
_cell_length_b 4.998
_cell_length_c 7.833
_cell_angle_alpha 90.00
_cell_angle_beta 90.42
_cell_angle_gamma 90.00
loop_
_atom_site_label
_atom_site_type_symbol
_atom_site_fract_x
_atom_site_fract_y
_atom_site_fract_z
Ca1 Ca 0.000 0.000 0.000
Ca2 Ca 0.009 0.000 0.486
Ni1 Ni 0.006 0.500 0.237
Ni2 Ni 0.008 0.500 0.732
Ni3 Ni 0.167 0.500 0.987
Ni4 Ni 0.176 0.500 0.484
Ni5 Ni 0.255 0.250 0.236
Ni6 Ni 0.260 0.260 0.731
Ni7 Ni 0.342 0.000 0.483
Ni8 Ni 0.345 0.000 0.987
H1 H 0.209 0.000 0.839
```